Starting from a DFT-relaxed cell (GGA-PBE, Alexandria), the PXRD pattern of Ba6AgIr was simulated for λ = 1.5418 Å (Cu Kα).

Most intense lines, 5 to 70 degrees two-theta, in order of rising 2θ:
12.82°, I 18; 17.32°, I 33; 25.21°, I 100; 32.48°, I 55; 36.39°, I 13; 39.15°, I 38; 42.14°, I 25; 47.13°, I 17; 51.75°, I 14; 63.32°, I 17

Cell and atoms:
```
Ba6AgIr
1.0
7.9717 0.0000 0.0000
-3.9858 6.9037 0.0000
0.0000 0.0000 15.2633
Ba Ag Ir
12 2 2
Cartesian
-1.2353 2.1835 1.8046
-2.7125 4.7421 5.8270
1.2353 2.1835 5.8270
-1.4772 6.8817 1.8046
2.5086 0.0220 9.4363
1.2734 2.1615 13.4587
2.7125 4.7421 1.8046
1.4772 6.8817 5.8270
5.4631 0.0220 13.4587
2.7506 4.7202 9.4363
6.6983 2.1615 9.4363
5.2211 4.7202 13.4587
0.0000 4.6025 11.4475
3.9859 2.3012 3.8158
0.0000 0.0000 0.0000
0.0000 0.0000 7.6317
```

=====

Starting from a DFT-relaxed cell (GGA-PBE, Alexandria), the PXRD pattern of Ba4AgIr2 was simulated for λ = 1.5418 Å (Cu Kα).

Most intense lines, 5 to 70 degrees two-theta, in order of rising 2θ:
10.67°, I 100; 20.87°, I 14; 23.30°, I 14; 25.27°, I 28; 26.22°, I 37; 26.85°, I 21; 35.01°, I 25; 36.74°, I 43; 38.60°, I 17; 39.69°, I 16

Cell and atoms:
```
Ba4AgIr2
1.0
6.8451 -7.0478 0.0000
6.8451 7.0478 0.0000
-6.0206 0.0000 6.8008
Ba Ag Ir
8 2 4
Cartesian
12.1862 0.0000 1.6966
-4.5167 0.0000 5.1041
5.3345 0.8178 1.6981
2.3351 0.8178 5.1027
-0.9512 -2.9701 5.2213
2.0562 -3.2595 1.8233
8.6208 -2.9701 1.5794
5.6134 -3.2595 4.9775
-1.0891 0.4084 5.0967
8.7587 0.4084 1.7040
6.8451 4.8468 0.0000
5.3391 3.9329 1.6995
2.3305 3.9329 5.1012
3.8348 3.0187 3.4004
```

=====

Starting from a DFT-relaxed cell (GGA-PBE, Alexandria), the PXRD pattern of K2BaAg9 was simulated for λ = 1.5418 Å (Cu Kα).

Most intense lines, 5 to 70 degrees two-theta, in order of rising 2θ:
9.07°, I 28; 17.74°, I 30; 35.51°, I 27; 35.75°, I 100; 35.92°, I 19; 36.87°, I 35; 38.68°, I 32; 41.64°, I 22; 57.68°, I 24; 63.50°, I 23

Cell and atoms:
```
K2BaAg9
1.0
2.9300 1.6916 9.7514
-2.9300 1.6916 9.7514
0.0000 -3.3832 9.7514
K Ba Ag
2 1 9
Cartesian
0.0000 0.0000 4.2401
0.0000 0.0000 25.0142
0.0000 0.0000 0.0000
-1.4513 -0.8379 12.1176
0.0000 0.0000 9.7082
0.0000 -1.6759 17.1367
-1.4514 0.8379 17.1367
0.0000 0.0000 14.6271
1.4513 -0.8379 12.1176
0.0000 1.6759 12.1176
0.0000 0.0000 19.5461
1.4513 0.8379 17.1366
```